No. 1
Structure and simulated powder XRD pattern of MgUBe17 (DFT lattice parameters and positions (PBE); Cu Ka).

Peak list (6 most intense, 2θ = 10–90°, in order of rising 2θ)
- hkl 1 0 1, 2θ = 15.60°, d = 5.680 Å, I 100
- hkl 0 1 2, 2θ = 20.92°, d = 4.247 Å, I 51
- hkl 1 1 0, 2θ = 23.29°, d = 3.820 Å, I 50
- hkl 0 2 1, 2θ = 28.15°, d = 3.170 Å, I 29
- hkl 1 1 3, 2θ = 33.76°, d = 2.655 Å, I 48
- hkl 2 1 1, 2θ = 36.85°, d = 2.439 Å, I 29

Cell and atoms:
Cell: 7.6393 7.6393 11.0769 Å, 90.00 90.00 120.00°
Space group R3m (No. 160, hexagonal axes)
Asymmetric unit:
Mg (0.0000, 0.0000, 0.0000)
U (0.0000, 0.0000, 0.3128)
Be (0.0000, 0.0000, 0.5587)
Be (0.0000, 0.0000, 0.7531)
Be (0.0021, 0.2861, 0.6577)
Be (0.0083, 0.5041, 0.5008)
Be (0.0085, 0.5043, 0.1542)
Be (0.1681, 0.3362, 0.1482)

No. 2
Structure and simulated powder XRD pattern of MgBe2V (DFT lattice parameters and positions (PBE); Cu Ka).

Peak list (6 most intense, 2θ = 10–90°, in order of rising 2θ)
- hkl 2 0 -1, 2θ = 20.47°, d = 4.339 Å, I 69
- hkl 2 0 2, 2θ = 31.88°, d = 2.807 Å, I 72
- hkl 1 1 -1, 2θ = 35.52°, d = 2.527 Å, I 87
- hkl 2 0 -3, 2θ = 40.75°, d = 2.214 Å, I 54
- hkl 1 1 -2, 2θ = 41.81°, d = 2.160 Å, I 58
- hkl 3 1 1, 2θ = 44.49°, d = 2.036 Å, I 100

Cell and atoms:
Cell: 10.334 2.780 7.097 Å, 90.00 94.79 90.00°
Space group C2/m (No. 12)
Asymmetric unit:
Mg (0.133, 0.000, 0.084)
Be (0.085, 0.000, 0.432)
Be (0.234, 0.500, 0.386)
V (0.087, 0.500, 0.705)

No. 3
Structure and simulated powder XRD pattern of MgBe2V (DFT lattice parameters and positions (PBE); Cu Ka).

Peak list (6 most intense, 2θ = 10–90°, in order of rising 2θ)
- hkl 0 1 0, 2θ = 15.97°, d = 5.550 Å, I 100
- hkl 0 1 -1, 2θ = 24.35°, d = 3.656 Å, I 41
- hkl 0 2 2, 2θ = 34.92°, d = 2.569 Å, I 40
- hkl 1 1 0, 2θ = 35.45°, d = 2.532 Å, I 75
- hkl 0 2 -1, 2θ = 39.35°, d = 2.290 Å, I 38
- hkl 0 0 3, 2θ = 41.89°, d = 2.157 Å, I 34

Cell and atoms:
Cell: 2.699 6.021 6.970 Å, 69.09 79.72 77.73°
Space group P-1 (No. 2)
Asymmetric unit:
Mg (0.156, 0.248, 0.475)
Be (0.076, 0.702, 0.157)
Be (0.270, 0.575, 0.879)
V (0.389, 0.068, 0.142)

No. 4
Structure and simulated powder XRD pattern of MgBe2V (DFT lattice parameters and positions (PBE); Cu Ka).

Peak list (6 most intense, 2θ = 10–90°, in order of rising 2θ)
- hkl 0 2 0, 2θ = 15.07°, d = 5.878 Å, I 50
- hkl 0 0 2, 2θ = 29.56°, d = 3.022 Å, I 67
- hkl 1 1 0, 2θ = 31.81°, d = 2.813 Å, I 36
- hkl 0 4 1, 2θ = 33.92°, d = 2.643 Å, I 39
- hkl 1 3 1, 2θ = 41.54°, d = 2.174 Å, I 100
- hkl 1 1 2, 2θ = 43.98°, d = 2.059 Å, I 60

Cell and atoms:
Cell: 2.897 11.756 6.043 Å, 90.00 90.00 90.00°
Space group Cmcm (No. 63)
Asymmetric unit:
Mg (0.000, 0.245, 0.250)
Be (0.000, 0.415, 0.562)
V (0.000, 0.043, 0.750)

No. 5
Structure and simulated powder XRD pattern of Mg2BeZn (DFT lattice parameters and positions (PBE); Cu Ka).

Peak list (6 most intense, 2θ = 10–90°, in order of rising 2θ)
- hkl 0 0 1, 2θ = 11.60°, d = 7.626 Å, I 88
- hkl 1 0 0, 2θ = 30.40°, d = 2.940 Å, I 31
- hkl 1 0 1, 2θ = 32.64°, d = 2.743 Å, I 46
- hkl 1 0 2, 2θ = 38.67°, d = 2.328 Å, I 100
- hkl 1 1 0, 2θ = 43.53°, d = 2.079 Å, I 45
- hkl 2 1 2, 2θ = 76.66°, d = 1.243 Å, I 24

Cell and atoms:
Cell: 2.940 2.940 7.626 Å, 90.00 90.00 90.00°
Space group P4mm (No. 99)
Asymmetric unit:
Mg (0.000, 0.000, 0.000)
Mg (0.500, 0.500, 0.327)
Be (0.500, 0.500, 0.764)
Zn (0.000, 0.000, 0.596)

No. 6
Structure and simulated powder XRD pattern of Mg2BeZn (DFT lattice parameters and positions (PBE); Cu Ka).

Peak list (6 most intense, 2θ = 10–90°, in order of rising 2θ)
- hkl 0 0 1, 2θ = 17.39°, d = 5.100 Å, I 98
- hkl 0 1 0, 2θ = 21.32°, d = 4.168 Å, I 84
- hkl 1 1 0, 2θ = 36.98°, d = 2.431 Å, I 87
- hkl 1 1 -1, 2θ = 37.12°, d = 2.422 Å, I 89
- hkl 0 1 2, 2θ = 41.52°, d = 2.175 Å, I 100
- hkl 0 2 0, 2θ = 43.43°, d = 2.084 Å, I 52

Cell and atoms:
Cell: 3.121 4.168 5.319 Å, 90.00 106.51 90.00°
Space group Pm (No. 6)
Asymmetric unit:
Mg (0.000, 0.000, 0.000)
Mg (0.320, 0.500, 0.649)
Be (0.721, 0.000, 0.450)
Zn (0.603, 0.500, 0.207)

No. 7
Structure and simulated powder XRD pattern of MgBeZn (DFT lattice parameters and positions (PBE); Cu Ka).

Peak list (6 most intense, 2θ = 10–90°, in order of rising 2θ)
- hkl 1 0 1, 2θ = 22.38°, d = 3.972 Å, I 92
- hkl 0 0 2, 2θ = 26.01°, d = 3.425 Å, I 51
- hkl 2 0 0, 2θ = 36.88°, d = 2.437 Å, I 38
- hkl 1 2 1, 2θ = 42.38°, d = 2.133 Å, I 100
- hkl 1 0 3, 2θ = 43.78°, d = 2.068 Å, I 43
- hkl 2 0 2, 2θ = 45.69°, d = 1.986 Å, I 31

Cell and atoms:
Cell: 4.874 5.056 6.851 Å, 90.00 90.00 90.00°
Space group Imma (No. 74)
Asymmetric unit:
Mg (0.000, 0.250, 0.120)
Be (0.250, 0.250, 0.750)
Zn (0.000, 0.000, 0.500)

No. 8
Structure and simulated powder XRD pattern of Mn5Be (DFT lattice parameters and positions (PBE); Cu Ka).

Peak list (6 most intense, 2θ = 10–90°, in order of rising 2θ)
- hkl 0 0 2, 2θ = 14.32°, d = 6.187 Å, I 18
- hkl 0 1 3, 2θ = 41.74°, d = 2.164 Å, I 23
- hkl 2 0 0, 2θ = 45.88°, d = 1.978 Å, I 36
- hkl 1 1 3, 2θ = 47.91°, d = 1.899 Å, I 100
- hkl 1 0 6, 2θ = 49.87°, d = 1.829 Å, I 37
- hkl 3 1 3, 2θ = 86.41°, d = 1.126 Å, I 17

Cell and atoms:
Cell: 3.956 2.542 12.374 Å, 90.00 90.00 90.00°
Space group Amm2 (No. 38)
Asymmetric unit:
Mn (0.000, 0.000, 0.000)
Mn (0.000, 0.000, 0.328)
Mn (0.000, 0.000, 0.667)
Mn (0.500, 0.000, 0.116)
Mn (0.500, 0.000, 0.446)
Be (0.500, 0.000, 0.783)

No. 9
Structure and simulated powder XRD pattern of Mn5Be (DFT lattice parameters and positions (PBE); Cu Ka).

Peak list (6 most intense, 2θ = 10–90°, in order of rising 2θ)
- hkl 1 1 -2, 2θ = 46.45°, d = 1.955 Å, I 100
- hkl 4 0 -2, 2θ = 46.91°, d = 1.937 Å, I 48
- hkl 3 1 0, 2θ = 47.38°, d = 1.919 Å, I 95
- hkl 2 0 2, 2θ = 47.58°, d = 1.911 Å, I 47
- hkl 0 2 0, 2θ = 67.99°, d = 1.379 Å, I 17
- hkl 2 2 2, 2θ = 87.16°, d = 1.118 Å, I 28

Cell and atoms:
Cell: 8.517 2.758 5.545 Å, 90.00 109.76 90.00°
Space group C2/m (No. 12)
Asymmetric unit:
Mn (0.000, 0.000, 0.000)
Mn (0.164, 0.500, 0.344)
Mn (0.171, 0.500, 0.828)
Be (0.000, 0.000, 0.500)

No. 10
Structure and simulated powder XRD pattern of Mn7Be6 (DFT lattice parameters and positions (PBE); Cu Ka).

Peak list (6 most intense, 2θ = 10–90°, in order of rising 2θ)
- hkl 0 0 6, 2θ = 22.67°, d = 3.922 Å, I 100
- hkl 1 0 1, 2θ = 23.11°, d = 3.848 Å, I 75
- hkl 1 1 6, 2θ = 46.50°, d = 1.953 Å, I 39
- hkl 0 2 1, 2θ = 46.74°, d = 1.944 Å, I 35
- hkl 2 0 5, 2θ = 50.67°, d = 1.802 Å, I 59
- hkl 0 2 7, 2θ = 54.39°, d = 1.687 Å, I 40

Cell and atoms:
Cell: 4.5038 4.5038 23.5328 Å, 90.00 90.00 120.00°
Space group R-3m (No. 166, hexagonal axes)
Asymmetric unit:
Mn (0.0000, 0.0000, 0.0000)
Mn (0.0063, 0.5031, 0.4148)
Be (0.0000, 0.0000, 0.1658)
Be (0.0000, 0.0000, 0.3497)
Be (0.0000, 0.0000, 0.4447)

No. 11
Structure and simulated powder XRD pattern of Mn6Be23 (DFT lattice parameters and positions (PBE); Cu Ka).

Peak list (6 most intense, 2θ = 10–90°, in order of rising 2θ)
- hkl 1 1 1, 2θ = 15.57°, d = 5.692 Å, I 75
- hkl 2 0 0, 2θ = 17.99°, d = 4.930 Å, I 50
- hkl 2 2 2, 2θ = 31.43°, d = 2.846 Å, I 67
- hkl 3 3 1, 2θ = 39.85°, d = 2.262 Å, I 53
- hkl 4 2 2, 2θ = 45.05°, d = 2.013 Å, I 41
- hkl 3 3 3, 2θ = 47.94°, d = 1.897 Å, I 100

Cell and atoms:
Cell: 9.859 9.859 9.859 Å, 90.00 90.00 90.00°
Space group Fm-3m (No. 225)
Asymmetric unit:
Mn (0.000, 0.000, 0.193)
Be (0.000, 0.000, 0.500)
Be (0.000, 0.250, 0.250)
Be (0.120, 0.120, 0.380)
Be (0.167, 0.167, 0.167)

No. 12
Structure and simulated powder XRD pattern of MnBeMo (DFT lattice parameters and positions (PBE); Cu Ka).

Peak list (6 most intense, 2θ = 10–90°, in order of rising 2θ)
- hkl 1 0 1, 2θ = 23.94°, d = 3.717 Å, I 71
- hkl 0 2 0, 2θ = 38.74°, d = 2.324 Å, I 59
- hkl 1 1 2, 2θ = 39.17°, d = 2.300 Å, I 100
- hkl 0 1 3, 2θ = 46.05°, d = 1.971 Å, I 80
- hkl 2 1 1, 2θ = 46.80°, d = 1.941 Å, I 99
- hkl 2 2 4, 2θ = 84.19°, d = 1.150 Å, I 27

Cell and atoms:
Cell: 4.521 4.649 6.529 Å, 90.00 90.00 90.00°
Space group Imma (No. 74)
Asymmetric unit:
Mn (0.250, 0.250, 0.250)
Be (0.000, 0.000, 0.000)
Mo (0.000, 0.250, 0.630)